Diffraction record for Gd6CoTe2. The X-ray powder pattern is computed, not measured: it uses a crystal structure in OQMD, relaxed with PBE and Cu Kα, 1.54184 Å.

Top 6 peaks for 10° ≤ 2θ ≤ 90°, in order of rising 2θ:
2θ/deg	I (rel.)	(hkl)
31.13	1000	1 1 1
32.42	766	2 1 0
33.51	698	2 0 1
39.92	291	2 1 1
57.63	299	2 1 2
60.01	278	3 2 1

Structure:
```
Gd6CoTe2
1.0
8.4380 0.0000 0.0000
-4.2190 7.3075 0.0000
0.0000 0.0000 3.9237
Gd Co Te
6 1 2
Cartesian
-0.9975 1.7277 0.0000
-2.5131 4.3528 1.9618
1.9950 0.0000 0.0000
1.7059 2.9547 1.9618
5.0261 0.0000 1.9618
3.2215 5.5798 0.0000
0.0000 0.0000 1.9618
0.0000 4.8717 0.0000
4.2190 2.4358 0.0000
```


Diffraction record for GdYCo2. The X-ray powder pattern is computed, not measured: it uses a crystal structure in OQMD, relaxed with PBE and Cu Kα, 1.54184 Å.

Top 6 peaks for 10° ≤ 2θ ≤ 90°, in order of rising 2θ:
2θ/deg	I (rel.)	(hkl)
30.43	962	1 1 1
33.23	1000	1 0 2
34.48	927	0 2 1
37.07	782	1 1 2
39.78	755	0 1 3
41.70	986	1 2 1

Structure:
```
GdYCo2
1.0
3.9100 0.0000 0.0000
0.0000 5.5525 0.0000
0.0000 0.0000 7.4453
Gd Y Co
2 2 4
Cartesian
0.0000 0.7359 0.0000
0.0000 4.8166 3.7226
1.9550 2.0424 4.7975
1.9550 3.5101 1.0748
0.0000 1.9331 2.6005
0.0000 3.6194 6.3232
1.9550 0.8402 2.1953
1.9550 4.7123 5.9180
```


Which formula does entry 1 have? Gd6CoTe2